[1]
Diffraction record for NaCN3. The X-ray powder pattern is calculated, not measured: it uses a DFT-relaxed cell (GGA-PBE, Alexandria) and copper Kα.

Principal peaks in the range 2θ = 10–90°, in order of rising 2θ:
| Position (°2θ) | intensity | h k l |
| --- | --- | --- |
| 18.9 | 100.0 | 0 0 3 |
| 19.5 | 57.4 | 1 0 1 |
| 22.4 | 57.8 | 0 1 2 |
| 32.2 | 46.3 | 1 1 0 |
| 37.0 | 73.2 | 0 1 5 |
| 45.7 | 82.9 | 0 2 4 |

Crystal structure
a = 5.5527 Å, b = 5.5527 Å, c = 14.0578 Å
α = 90.00°, β = 90.00°, γ = 120.00°
Space group R-3m (No. 166, hexagonal axes)
One atom of each set of equivalent atoms:
Na 0.0000 0.0000 0.1289
C 0.0000 0.0000 0.3124
N 0.0532 0.5266 0.3630

***

[2]
Diffraction record for NaC3N. The X-ray powder pattern is calculated, not measured: it uses a DFT-relaxed cell (GGA-PBE, Alexandria) and copper Kα.

Principal peaks in the range 2θ = 10–90°, in order of rising 2θ:
| Position (°2θ) | intensity | h k l |
| --- | --- | --- |
| 34.1 | 100.0 | 1 1 0 |
| 42.1 | 81.2 | 1 1 1 |
| 49.0 | 91.2 | 2 0 0 |
| 61.1 | 30.6 | 2 1 1 |
| 71.9 | 43.9 | 2 2 0 |
| 87.0 | 21.2 | 3 1 1 |

Crystal structure
a = 3.716 Å, b = 3.716 Å, c = 3.716 Å
α = 90.00°, β = 90.00°, γ = 90.00°
Space group Pm-3m (No. 221)
One atom of each set of equivalent atoms:
Na 0.000 0.000 0.000
C 0.000 0.500 0.500
N 0.500 0.500 0.500

***

[3]
Diffraction record for NaPmC3N6. The X-ray powder pattern is calculated, not measured: it uses a DFT-relaxed cell (GGA-PBE, Alexandria) and copper Kα.

Principal peaks in the range 2θ = 10–90°, in order of rising 2θ:
| Position (°2θ) | intensity | h k l |
| --- | --- | --- |
| 16.7 | 46.9 | 1 0 1 |
| 17.8 | 100.0 | 1 1 0 |
| 24.5 | 71.0 | 0 2 1 |
| 33.8 | 33.2 | 2 0 2 |
| 36.1 | 24.1 | 2 2 0 |
| 38.4 | 40.4 | 1 2 2 |

Crystal structure
a = 9.9639 Å, b = 9.9639 Å, c = 6.7371 Å
α = 90.00°, β = 90.00°, γ = 120.00°
Space group R32 (No. 155, hexagonal axes)
One atom of each set of equivalent atoms:
Na 0.0000 0.0000 0.0000
Pm 0.0000 0.0000 0.5000
C 0.0000 0.4995 0.5000
N 0.1055 0.2122 0.7373